The following is a simulated powder XRD pattern of Dy2ZnPt. It was derived from a cell relaxed with PBE, using CuKα.

Atomic structure:
Unit cell a=7.056 b=7.056 c=7.056 alpha=90.00 beta=90.00 gamma=90.00
Positions (direct):
Dy (0.250, 0.250, 0.250)
Dy (0.250, 0.250, 0.750)
Dy (0.250, 0.750, 0.250)
Dy (0.250, 0.750, 0.750)
Dy (0.750, 0.250, 0.250)
Dy (0.750, 0.250, 0.750)
Dy (0.750, 0.750, 0.250)
Dy (0.750, 0.750, 0.750)
Zn (0.000, 0.000, 0.000)
Zn (0.000, 0.500, 0.500)
Zn (0.500, 0.000, 0.500)
Zn (0.500, 0.500, 0.000)
Pt (0.000, 0.000, 0.500)
Pt (0.000, 0.500, 0.000)
Pt (0.500, 0.000, 0.000)
Pt (0.500, 0.500, 0.500)

Most intense lines, 10° ≤ 2θ ≤ 80°, by angle:
d [Å]  2theta  I (rel.)
4.074  21.82  9.8
2.495  36.00  100.0
2.127  42.49  5.4
1.764  51.83  17.7
1.440  64.72  36.3
1.247  76.35  11.3